(1)
Theoretical PXRD pattern of Ce7PuPb2 for Cu Kα, 1.54184 Å, from DFT lattice parameters and positions (GGA-PBE).
No peak broadening, texture or thermal motion is included.

abc: 8.708 8.708 10.487
angles: 120.91 120.91 58.73
Atoms (fractional coordinates):
Ce: 0.013 0.987 0.750
Ce: 0.171 0.587 0.188
Ce: 0.197 0.440 0.500
Ce: 0.260 0.601 0.886
Ce: 0.399 0.740 0.614
Ce: 0.413 0.829 0.312
Ce: 0.440 0.197 0.000
Ce: 0.560 0.803 0.000
Ce: 0.587 0.171 0.688
Ce: 0.601 0.260 0.386
Ce: 0.740 0.399 0.114
Ce: 0.803 0.560 0.500
Ce: 0.829 0.413 0.812
Ce: 0.987 0.013 0.250
Pu: 0.464 0.536 0.750
Pu: 0.536 0.464 0.250
Pb: 0.148 0.195 0.632
Pb: 0.195 0.148 0.132
Pb: 0.805 0.852 0.868
Pb: 0.852 0.805 0.368

Principal peaks in the range 2θ from 10° to 80°, by angle:
| d/Å | intensity |
| --- | --- |
| 4.328 | 34.1 |
| 2.992 | 35.3 |
| 2.864 | 79.1 |
| 2.815 | 100.0 |
| 2.798 | 38.7 |
| 2.773 | 41.1 |
| 2.746 | 33.5 |
| 2.338 | 58.0 |



(2)
Theoretical PXRD pattern of CePuPb2 for Cu Kα, 1.54184 Å, from DFT lattice parameters and positions (GGA-PBE).
No peak broadening, texture or thermal motion is included.

abc: 6.929 9.349 3.563
angles: 90.00 90.00 90.00
Atoms (fractional coordinates):
Ce: 0.000 0.000 0.000
Ce: 0.500 0.500 0.000
Pu: 0.000 0.500 0.000
Pu: 0.500 0.000 0.000
Pb: 0.250 0.250 0.500
Pb: 0.250 0.750 0.500
Pb: 0.750 0.250 0.500
Pb: 0.750 0.750 0.500

Principal peaks in the range 2θ from 10° to 80°, by angle:
| d/Å | intensity |
| --- | --- |
| 2.834 | 100.0 |
| 2.783 | 94.0 |
| 2.484 | 69.1 |
| 2.337 | 29.1 |
| 1.782 | 13.0 |
| 1.702 | 45.0 |
| 1.501 | 29.9 |
| 1.478 | 28.5 |



(3)
Theoretical PXRD pattern of CePu3Pb2 for Cu Kα, 1.54184 Å, from DFT lattice parameters and positions (GGA-PBE).
No peak broadening, texture or thermal motion is included.

abc: 8.790 8.790 5.617
angles: 98.90 98.90 126.07
Atoms (fractional coordinates):
Ce: 0.219 0.781 0.750
Ce: 0.781 0.219 0.250
Pu: 0.056 0.944 0.750
Pu: 0.280 0.417 0.428
Pu: 0.417 0.280 0.928
Pu: 0.583 0.720 0.072
Pu: 0.720 0.583 0.572
Pu: 0.944 0.056 0.250
Pb: 0.075 0.354 0.859
Pb: 0.354 0.075 0.359
Pb: 0.646 0.925 0.641
Pb: 0.925 0.646 0.141

Principal peaks in the range 2θ from 10° to 80°, by angle:
| d/Å | intensity |
| --- | --- |
| 7.834 | 50.1 |
| 3.146 | 32.0 |
| 2.764 | 100.0 |
| 2.708 | 27.9 |
| 2.690 | 85.1 |
| 2.595 | 41.7 |
| 2.516 | 63.9 |
| 2.341 | 36.6 |